Entry 1:
Structure and simulated X-ray diffraction stick pattern of RbLaMg14 (a crystal structure in the Materials Project, relaxed with GGA-PBE; λ = 1.5418 Å (Cu Kα)).
No peak broadening, texture or thermal motion is included.

Principal peaks in the range 2θ from 10° to 90°, low angle first:
- (1 0 0), 14.96°, intensity 38
- (1 0 2), 22.61°, intensity 38
- (2 0 0), 30.18°, intensity 30
- (1 1 2), 31.20°, intensity 15
- (0 0 4), 34.10°, intensity 23
- (2 0 2), 34.76°, intensity 100
- (2 0 4), 46.17°, intensity 18
- (2 2 0), 53.60°, intensity 18
- (2 0 6), 61.47°, intensity 18
- (2 2 4), 65.07°, intensity 19

Structure:
Cell: 6.8395 6.8395 10.5176 Å, 90.00 90.00 120.00°
Space group P-6m2 (No. 187)
Unique sites:
Rb (0.0000, 0.0000, 0.0000) (multiplicity 1)
La (0.0000, 0.0000, 0.5000) (multiplicity 1)
Mg (0.0045, 0.5022, 0.0000) (multiplicity 3)
Mg (0.0066, 0.5033, 0.5000) (multiplicity 3)
Mg (0.1752, 0.3505, 0.2546) (multiplicity 6)
Mg (0.6667, 0.3333, 0.2510) (multiplicity 2)

***

Entry 2:
Structure and simulated X-ray diffraction stick pattern of Rb3Mo2Br9 (a crystal structure in the Materials Project, relaxed with GGA-PBE; λ = 1.5418 Å (Cu Kα)).
No peak broadening, texture or thermal motion is included.

Principal peaks in the range 2θ from 10° to 90°, low angle first:
- (1 0 1), 14.07°, intensity 68
- (1 0 5), 27.19°, intensity 30
- (2 0 2), 28.36°, intensity 66
- (0 0 6), 28.49°, intensity 31
- (2 0 3), 30.33°, intensity 100
- (2 0 4), 32.90°, intensity 71
- (2 0 5), 35.95°, intensity 29
- (2 0 7), 43.23°, intensity 25
- (2 2 0), 47.14°, intensity 60
- (2 2 6), 55.98°, intensity 35

Structure:
Cell: 7.7121 7.7121 18.7997 Å, 90.00 90.00 120.00°
Space group P6_3/mmc (No. 194)
Unique sites:
Rb (0.0000, 0.0000, 0.2500) (multiplicity 2)
Rb (0.3333, 0.6667, 0.0633) (multiplicity 4)
Mo (0.3333, 0.6667, 0.6740) (multiplicity 4)
Br (0.0034, 0.5017, 0.7500) (multiplicity 6)
Br (0.1756, 0.3512, 0.5945) (multiplicity 12)

***

Entry 3:
Structure and simulated X-ray diffraction stick pattern of BaGa2 (a crystal structure in the Materials Project, relaxed with GGA-PBE; λ = 1.5418 Å (Cu Kα)).
No peak broadening, texture or thermal motion is included.

Principal peaks in the range 2θ from 10° to 90°, low angle first:
- (1 0 1), 28.92°, intensity 100
- (0 0 2), 35.11°, intensity 18
- (1 1 0), 40.32°, intensity 37
- (2 0 1), 50.38°, intensity 21
- (1 1 2), 54.51°, intensity 30
- (1 0 3), 59.23°, intensity 13
- (2 1 1), 66.41°, intensity 18
- (0 0 4), 74.12°, intensity 9
- (3 0 2), 83.95°, intensity 9
- (1 1 4), 87.96°, intensity 16

Structure:
Cell: 4.4735 4.4735 5.1125 Å, 90.00 90.00 120.00°
Space group P6mm (No. 183)
Unique sites:
Ba (0.0000, 0.0000, 0.0000) (multiplicity 1)
Ga (0.3333, 0.6667, 0.4908) (multiplicity 2)

***

Entry 4:
Structure and simulated X-ray diffraction stick pattern of NaHf6N6Cl6 (a crystal structure in the Materials Project, relaxed with GGA-PBE; λ = 1.5418 Å (Cu Kα)).
No peak broadening, texture or thermal motion is included.

Principal peaks in the range 2θ from 10° to 90°, low angle first:
- (2 0 0), 29.14°, intensity 62
- (2 0 1), 32.27°, intensity 100
- (1 3 2), 35.55°, intensity 42
- (0 0 4), 36.04°, intensity 20
- (1 3 3), 41.77°, intensity 39
- (0 6 0), 50.49°, intensity 35
- (3 3 0), 51.38°, intensity 18
- (2 0 5), 60.36°, intensity 14
- (2 6 1), 61.21°, intensity 16
- (3 3 3), 63.59°, intensity 23

Structure:
Cell: 6.2613 10.8444 10.1857 Å, 90.00 101.82 90.00°
Space group C2/m (No. 12)
Unique sites:
Na (0.0000, 0.0000, 0.0000) (multiplicity 2)
Hf (0.2080, 0.0000, 0.6248) (multiplicity 4)
Hf (0.2083, 0.3335, 0.6246) (multiplicity 8)
N (0.1370, 0.0000, 0.4110) (multiplicity 4)
N (0.1369, 0.3334, 0.4107) (multiplicity 8)
Cl (0.1055, 0.5000, 0.8171) (multiplicity 4)
Cl (0.1058, 0.1668, 0.8171) (multiplicity 8)

***

Entry 5:
Structure and simulated X-ray diffraction stick pattern of ScI5N3 (a crystal structure in the Materials Project, relaxed with GGA-PBE; λ = 1.5418 Å (Cu Kα)).
No peak broadening, texture or thermal motion is included.

Principal peaks in the range 2θ from 10° to 90°, low angle first:
- (2 0 0), 10.45°, intensity 16
- (1 0 1), 11.11°, intensity 15
- (0 0 2), 19.67°, intensity 17
- (1 1 2), 22.71°, intensity 23
- (4 0 1), 23.22°, intensity 100
- (1 2 2), 28.68°, intensity 23
- (2 2 2), 30.14°, intensity 21
- (2 1 3), 33.16°, intensity 15
- (8 0 0), 42.73°, intensity 18
- (4 4 1), 47.28°, intensity 18

Structure:
Cell: 16.9273 8.8930 9.0244 Å, 90.00 90.00 90.00°
Space group Pnma (No. 62)
Unique sites:
Sc (0.0610, 0.2500, 0.0512) (multiplicity 4)
I (0.0535, 0.5567, 0.1914) (multiplicity 8)
I (0.0621, 0.2500, 0.3749) (multiplicity 4)
I (0.1846, 0.2500, 0.8675) (multiplicity 4)
I (0.1961, 0.7500, 0.7881) (multiplicity 4)
N (0.0469, 0.7500, 0.0481) (multiplicity 4)
N (0.1740, 0.5804, 0.6690) (multiplicity 8)

***

Entry 6:
Structure and simulated X-ray diffraction stick pattern of Ba3LiIrRuO9 (a crystal structure in the Materials Project, relaxed with GGA-PBE; λ = 1.5418 Å (Cu Kα)).
No peak broadening, texture or thermal motion is included.

Principal peaks in the range 2θ from 10° to 90°, low angle first:
- (1 0 0), 17.40°, intensity 21
- (1 0 1), 18.50°, intensity 26
- (1 0 3), 25.67°, intensity 23
- (1 1 0), 30.38°, intensity 100
- (1 0 4), 30.67°, intensity 38
- (1 0 5), 36.18°, intensity 32
- (2 0 4), 43.72°, intensity 25
- (2 0 5), 47.95°, intensity 19
- (3 0 0), 53.99°, intensity 20
- (2 2 0), 63.21°, intensity 19

Structure:
Cell: 5.8838 5.8838 14.2135 Å, 90.00 90.00 120.00°
Space group P6_3mc (No. 186)
Unique sites:
Ba (0.0000, 0.0000, 0.0000) (multiplicity 2)
Ba (0.3333, 0.6667, 0.1665) (multiplicity 2)
Ba (0.3333, 0.6667, 0.8380) (multiplicity 2)
Li (0.0000, 0.0000, 0.2521) (multiplicity 2)
Ir (0.3333, 0.6667, 0.4120) (multiplicity 2)
Ru (0.3333, 0.6667, 0.5931) (multiplicity 2)
O (0.0177, 0.5088, 0.4997) (multiplicity 6)
O (0.1762, 0.3524, 0.6644) (multiplicity 6)
O (0.1763, 0.3526, 0.3363) (multiplicity 6)